Simulated X-ray powder pattern of Th4PSe5 for Cu Kα X-rays, from a DFT-relaxed cell (GGA-PBE, Alexandria).
Lines closer than 0.1° are merged.

Cell and atoms:
abc: 18.284 4.202 8.286
angles: 90.00 104.41 90.00
Space group C2/m (No. 12)
Inequivalent atoms, fractional coordinates:
Th 0.000 0.000 0.240
Th 0.163 0.500 0.099
P 0.000 0.500 0.000
Se 0.000 0.500 0.500
Se 0.165 0.000 0.340
Se 0.169 0.000 0.843

Largest 10 diffraction maxima, in order of falling intensity, 10° ≤ 2θ ≤ 90°:
d [Å]	2θ (°)	I_rel	(hkl)
2.950	30.29	100	6 0 0
2.103	43.01	38	0 2 0
2.070	43.73	37	5 1 2
8.026	11.02	23	0 0 1
1.712	53.51	20	6 2 0
3.425	26.02	17	3 1 0
1.311	72.02	16	11 1 2
5.324	16.65	15	2 0 1
1.475	63.01	12	12 0 0
1.328	71.00	11	1 3 -2